The following is a calculated PXRD pattern of Y11Tm9Th4. It was derived from DFT lattice parameters and positions (GGA-PBE), using CuKα.

Structural model:
Cell: 15.0848 15.0848 3.6892 Å, 90.00 90.00 112.78°
Fractional coordinates of all 24 atoms:
Y (0.0000, 0.0000, 0.0000)
Y (0.0455, 0.4072, 0.0000)
Y (0.1594, 0.8406, 0.0000)
Y (0.2828, 0.2828, 0.0000)
Y (0.3634, 0.6366, 0.0000)
Y (0.4072, 0.0455, 0.0000)
Y (0.5928, 0.9545, 0.0000)
Y (0.6366, 0.3634, 0.0000)
Y (0.7172, 0.7172, 0.0000)
Y (0.8406, 0.1594, 0.0000)
Y (0.9545, 0.5928, 0.0000)
Tm (0.0656, 0.2112, 0.5000)
Tm (0.1630, 0.6346, 0.5000)
Tm (0.2112, 0.0656, 0.5000)
Tm (0.3654, 0.8370, 0.5000)
Tm (0.5000, 0.5000, 0.5000)
Tm (0.6346, 0.1630, 0.5000)
Tm (0.7888, 0.9344, 0.5000)
Tm (0.8370, 0.3654, 0.5000)
Tm (0.9344, 0.7888, 0.5000)
Th (0.2451, 0.4452, 0.5000)
Th (0.4452, 0.2451, 0.5000)
Th (0.5548, 0.7549, 0.5000)
Th (0.7549, 0.5548, 0.5000)

Largest 8 diffraction maxima, in order of rising 2θ, 10° ≤ 2θ ≤ 90°:
- 4.182 Å, rel. 15
- 3.689 Å, rel. 15
- 2.973 Å, rel. 17
- 2.957 Å, rel. 56
- 2.887 Å, rel. 15
- 2.766 Å, rel. 100
- 2.754 Å, rel. 14
- 1.565 Å, rel. 17